Entry 1:
# Na5As2O18
Simulated powder diffractogram, CuKα. Input: a GGA-PBE-relaxed structure.
Neutral-atom scattering factors, no anomalous dispersion.

```
50
Lattice="8.035 0.000 0.000 0.000 7.645 0.000 -4.921 0.000 15.067" Properties=species:S:1:pos:R:3 pbc="T T T"
Na 0.000 0.000 0.000
Na -2.461 0.000 7.534
Na 1.026 0.140 3.546
Na -1.434 7.505 11.079
Na -1.578 2.902 14.020
Na 0.883 4.743 6.486
Na 2.231 2.902 8.581
Na 4.691 4.743 1.048
Na 4.548 0.140 3.988
Na 2.088 7.505 11.522
As 2.219 2.533 2.179
As -0.241 5.112 9.713
As 3.355 2.533 5.355
As 0.894 5.112 12.888
O -1.230 0.111 3.767
O -3.691 7.534 11.301
O -4.643 3.406 14.709
O -2.182 4.239 7.175
O -3.659 0.780 12.936
O -1.198 6.865 5.402
O -3.317 1.979 12.727
O -0.856 5.666 5.193
O 1.299 1.218 1.560
O -1.161 6.427 9.094
O -1.081 3.716 10.144
O 1.380 3.929 2.610
O 1.144 7.643 7.075
O -1.317 0.002 14.609
O 0.464 1.700 10.683
O 2.925 5.946 3.149
O 3.608 2.803 1.222
O 1.148 4.842 8.756
O 2.787 1.705 3.767
O 0.327 5.940 11.301
O 1.966 2.803 6.312
O -0.495 4.842 13.845
O 0.189 1.700 11.918
O 2.650 5.946 4.384
O 4.431 7.643 0.459
O 1.970 0.002 7.992
O 1.734 3.716 12.457
O 4.195 3.929 4.924
O 4.275 1.218 5.973
O 1.815 6.427 13.507
O 3.970 1.979 9.875
O 6.431 5.666 2.341
O 4.312 0.780 9.665
O 6.772 6.865 2.131
O 5.296 3.406 7.893
O 7.757 4.239 0.359
```

Peak list (8 most intense, 2θ from 10° to 80°, low angle first)
2θ (°)	I_rel
11.59	36
13.71	36
16.16	100
16.40	17
26.76	21
27.62	23
29.32	15
32.66	24

---

Entry 2:
# NaAs2O4
Simulated powder diffractogram, CuKα. Input: a GGA-PBE-relaxed structure.
Neutral-atom scattering factors, no anomalous dispersion.

```
56
Lattice="11.576 -3.672 0.000 11.576 3.672 0.000 -8.643 0.000 13.428" Properties=species:S:1:pos:R:3 pbc="T T T"
Na 6.081 3.274 8.184
Na 4.105 3.274 11.959
Na 7.812 0.047 5.107
Na 3.490 -0.047 11.821
Na 11.017 0.047 1.607
Na 6.696 -0.047 8.321
Na 10.403 -3.274 1.470
Na 8.426 -3.274 5.245
As -1.913 0.659 8.729
As 7.164 2.247 2.505
As 2.822 1.841 8.771
As 2.409 -0.659 2.015
As 11.665 2.247 4.209
As 4.164 0.181 6.322
As -0.158 -0.181 13.037
As 7.365 1.841 11.371
As 7.143 -1.841 2.057
As 14.665 0.181 0.392
As 10.344 -0.181 7.106
As 2.843 -2.247 9.220
As 12.099 0.659 11.414
As 11.686 -1.841 4.657
As 7.344 -2.247 10.923
As 16.421 -0.659 4.700
O -3.166 0.442 7.635
O -2.480 0.945 10.414
O 3.807 1.624 5.120
O -0.505 0.049 5.047
O -4.827 -0.049 11.761
O 1.155 -0.442 0.921
O 7.952 2.072 3.993
O 3.272 1.719 10.397
O 4.334 1.081 7.917
O 10.877 2.072 2.721
O 1.842 -0.945 3.699
O 6.914 1.719 9.746
O 1.460 0.267 12.850
O 5.852 1.081 12.226
O 5.782 -0.267 6.136
O 15.022 1.624 1.594
O -0.515 -1.624 11.834
O 8.726 0.267 7.292
O 8.656 -1.081 1.203
O 13.048 -0.267 0.578
O 7.594 -1.719 3.683
O 12.666 0.945 9.729
O 3.631 -2.072 10.707
O 10.174 -1.081 5.511
O 11.235 -1.719 3.032
O 6.555 -2.072 9.436
O 13.352 0.442 12.508
O 19.335 0.049 1.667
O 15.013 -0.049 8.381
O 10.701 -1.624 8.308
O 16.987 -0.945 3.015
O 17.674 -0.442 5.794
```

Peak list (8 most intense, 2θ from 10° to 80°, low angle first)
2θ (°)	I_rel
15.57	32
16.64	38
18.23	100
25.88	34
26.62	30
26.80	44
27.69	33
28.99	26